# 1
The following is a calculated powder diffraction line list of LiLa2Pb6. It was derived from a DFT-relaxed cell (PBE, Alexandria), using CuKα.
No peak broadening, texture or thermal motion is included.

```
data_LiLa2Pb6
_chemical_formula_sum 'Li1 La2 Pb6'
_space_group_name_H-M_alt 'P 1 2/m 1'
_space_group_IT_number 10
_space_group_name_Hall '-P 2y'
_cell_length_a 7.464
_cell_length_b 4.969
_cell_length_c 8.365
_cell_angle_alpha 90.00
_cell_angle_beta 116.17
_cell_angle_gamma 90.00
loop_
_atom_site_label
_atom_site_fract_x
_atom_site_fract_y
_atom_site_fract_z
Li1 0.000 0.000 0.000
La1 0.215 0.500 0.429
Pb1 0.142 0.000 0.706
Pb2 0.280 0.500 0.000
Pb3 0.438 0.000 0.294
```

The 10 most intense peaks (2θ = 10–90°), most intense first:
d_spacing, I/Imax, h k l
2.995, 100, 0 1 2
2.484, 42, 0 2 0
2.777, 36, 2 1 0
3.732, 35, 2 0 -1
2.769, 34, 2 1 -2
3.188, 28, 1 1 -2
2.331, 23, 2 1 -3
2.984, 22, 2 1 -1
2.341, 21, 2 1 1
4.144, 19, 0 1 1

---

# 2
The following is a calculated powder diffraction line list of LiLa2PbSe4. It was derived from a DFT-relaxed cell (PBE, Alexandria), using CuKα.
No peak broadening, texture or thermal motion is included.

```
data_LiLa2PbSe4
_chemical_formula_sum 'Li4 La8 Pb4 Se16'
_space_group_name_H-M_alt 'I m m a'
_space_group_IT_number 74
_space_group_name_Hall '-I 2b 2'
_cell_length_a 8.574
_cell_length_b 8.676
_cell_length_c 12.127
_cell_angle_alpha 90.00
_cell_angle_beta 90.00
_cell_angle_gamma 90.00
loop_
_atom_site_label
_atom_site_fract_x
_atom_site_fract_y
_atom_site_fract_z
Li1 0.000 0.000 0.000
La1 0.000 0.000 0.500
La2 0.250 0.250 0.250
Pb1 0.250 0.250 0.750
Se1 0.000 0.004 0.245
Se2 0.246 0.250 0.002
```

The 10 most intense peaks (2θ = 10–90°), most intense first:
d_spacing, I/Imax, h k l
3.049, 100, 2 2 0
2.150, 75, 2 2 4
3.032, 49, 0 0 4
1.357, 25, 6 2 0
1.764, 20, 0 4 4
7.010, 20, 1 0 1
1.750, 20, 4 0 4
2.169, 19, 0 4 0
1.238, 19, 6 2 4
2.143, 19, 4 0 0